Theoretical powder diffraction line list of Tm2Pa2S7 for λ = 1.5418 Å (Cu Kα), from a DFT-relaxed cell (GGA-PBE, Alexandria).
Lines closer than 0.1° are merged.

Peak list (12 most intense, 10 to 80 degrees two-theta, most intense first)
23.84°, I = 100, (1 0 2); 39.46°, I = 44, (1 1 4); 46.53°, I = 35, (2 1 2); 39.34°, I = 23, (2 0 0); 27.54°, I = 17, (1 1 0); 46.73°, I = 16, (1 0 6); 71.41°, I = 15, (3 1 4); 62.69°, I = 13, (2 1 6); 76.42°, I = 8, (3 2 2); 27.70°, I = 8, (0 0 4); 56.86°, I = 8, (2 2 0); 48.80°, I = 8, (2 0 4)

Structure:
```
11
Lattice="4.580 0.000 0.000 0.000 4.580 0.000 0.000 0.000 12.881" Properties=species:S:1:pos:R:3 pbc="T T T"
Tm 0.000 2.290 1.772
Tm 2.290 0.000 11.109
Pa 0.000 2.290 8.063
Pa 2.290 0.000 4.819
S 0.000 0.000 3.004
S 0.000 0.000 6.441
S 0.000 0.000 9.877
S 2.290 2.290 0.000
S 2.290 2.290 3.285
S 2.290 2.290 6.441
S 2.290 2.290 9.596
```